1.
# TmGaSn2Rh4
Calculated X-ray diffraction stick pattern, Cu Kα (weighted mean of Kα1 and Kα2). Input: a GGA-PBE-relaxed structure.
Kinematic intensities with the Lorentz-polarization factor, no thermal factor.

Structural model:
a = 4.5609 Å, b = 4.5609 Å, c = 22.6686 Å
α = 90.00°, β = 90.00°, γ = 120.00°
Space group R-3m (No. 166, hexagonal axes)
One atom of each set of equivalent atoms:
Tm (0.0000, 0.0000, 0.0000) x3
Ga (0.0000, 0.0000, 0.5000) x3
Sn (0.0000, 0.0000, 0.2521) x6
Rh (0.0000, 0.0000, 0.1303) x6
Rh (0.0000, 0.0000, 0.3909) x6

Top 10 peaks for 2θ = 10–90°, by intensity:
Position (°2θ)  I/Imax  h k l
39.52  100  1 1 0
39.12  87  0 1 8
71.42  30  1 2 8
56.82  29  2 0 8
71.68  17  3 0 0
35.86  12  1 0 7
85.08  11  2 2 0
70.63  10  1 0 16
75.46  8  1 1 15
30.00  6  0 1 5


2.
# Mg7Cu2O9
Calculated X-ray diffraction stick pattern, Cu Kα (weighted mean of Kα1 and Kα2). Input: a GGA-PBE-relaxed structure.
Kinematic intensities with the Lorentz-polarization factor, no thermal factor.

Structural model:
a = 15.6468 Å, b = 3.0132 Å, c = 7.3640 Å
α = 90.00°, β = 90.15°, γ = 90.00°
Space group C2/m (No. 12)
One atom of each set of equivalent atoms:
Mg (0.0000, 0.0000, 0.0000) x2
Mg (0.0557, 0.5000, 0.6656) x4
Mg (0.1658, 0.5000, 0.0031) x4
Mg (0.2239, 0.0000, 0.6695) x4
Cu (0.1111, 0.0000, 0.3344) x4
O (0.0000, 0.0000, 0.5000) x2
O (0.0540, 0.5000, 0.1643) x4
O (0.1107, 0.0000, 0.8339) x4
O (0.1678, 0.5000, 0.5038) x4
O (0.2240, 0.0000, 0.1637) x4

Top 10 peaks for 2θ = 10–90°, by intensity:
Position (°2θ)  I/Imax  h k l
42.47  100  3 1 2
61.59  47  0 2 0
36.56  30  6 0 1
16.54  18  2 0 1
61.76  9  6 0 4
73.78  9  6 2 1
77.61  9  6 2 -2
77.80  9  12 0 2
26.76  6  2 0 -2
12.02  6  0 0 1